(1)
Structure and simulated powder XRD pattern of K2Rb2Br2O (a crystal structure in Alexandria, relaxed with GGA-PBE; Cu Ka).
Kinematic intensities with the Lorentz-polarization factor, no thermal factor.

Principal peaks in the range 10° ≤ 2θ ≤ 80°, low angle first:
- 2θ = 20.20°, rel. 20, hkl 0 0 4
- 2θ = 23.90°, rel. 64, hkl 1 1 0
- 2θ = 25.99°, rel. 36, hkl 1 1 2
- 2θ = 30.52°, rel. 35, hkl 0 0 6
- 2θ = 31.49°, rel. 100, hkl 1 1 4
- 2θ = 34.06°, rel. 65, hkl 2 0 0
- 2θ = 46.37°, rel. 37, hkl 2 0 6
- 2θ = 48.93°, rel. 22, hkl 2 2 0
- 2θ = 58.01°, rel. 19, hkl 1 1 10
- 2θ = 59.36°, rel. 31, hkl 3 1 4

Structural model:
abc: 5.2647 5.2647 17.5833
angles: 90.00 90.00 90.00
Space group I4/mmm (No. 139)
Asymmetric unit:
K  0.0000  0.5000  0.0000
Rb  0.0000  0.0000  0.1548
Br  0.0000  0.0000  0.3596
O  0.0000  0.0000  0.0000

(2)
Structure and simulated powder XRD pattern of K2RhBr2O2 (a crystal structure in Alexandria, relaxed with GGA-PBE; Cu Ka).
Kinematic intensities with the Lorentz-polarization factor, no thermal factor.

Principal peaks in the range 10° ≤ 2θ ≤ 80°, low angle first:
- 2θ = 10.47°, rel. 60, hkl 0 0 2
- 2θ = 21.76°, rel. 78, hkl 1 0 1
- 2θ = 30.02°, rel. 100, hkl 1 1 0
- 2θ = 31.78°, rel. 26, hkl 0 0 6
- 2θ = 34.02°, rel. 64, hkl 1 0 5
- 2θ = 42.97°, rel. 52, hkl 2 0 0
- 2θ = 43.20°, rel. 43, hkl 1 0 7
- 2θ = 44.29°, rel. 26, hkl 1 1 6
- 2θ = 55.91°, rel. 29, hkl 2 1 5
- 2θ = 62.57°, rel. 28, hkl 2 1 7

Structural model:
abc: 4.2097 4.2097 16.8969
angles: 90.00 90.00 90.00
Space group I4/mmm (No. 139)
Asymmetric unit:
K  0.0000  0.0000  0.1070
Rh  0.0000  0.0000  0.5000
Br  0.0000  0.0000  0.3444
O  0.0000  0.5000  0.0000

(3)
Structure and simulated powder XRD pattern of K2TlBrO2 (a crystal structure in Alexandria, relaxed with GGA-PBE; Cu Ka).
Kinematic intensities with the Lorentz-polarization factor, no thermal factor.

Principal peaks in the range 10° ≤ 2θ ≤ 80°, low angle first:
- 2θ = 12.40°, rel. 42, hkl 0 0 1
- 2θ = 20.15°, rel. 47, hkl 1 0 0
- 2θ = 23.73°, rel. 21, hkl 1 0 1
- 2θ = 24.94°, rel. 20, hkl 0 0 2
- 2θ = 28.65°, rel. 56, hkl 1 1 0
- 2θ = 32.28°, rel. 100, hkl 1 0 2
- 2θ = 38.35°, rel. 14, hkl 1 1 2
- 2θ = 40.97°, rel. 30, hkl 2 0 0
- 2θ = 53.09°, rel. 47, hkl 2 1 2
- 2θ = 59.71°, rel. 14, hkl 1 1 4

Structural model:
abc: 4.4062 4.4062 7.1393
angles: 90.00 90.00 90.00
Space group P4/mmm (No. 123)
Asymmetric unit:
K  0.0000  0.0000  0.2460
Tl  0.5000  0.5000  0.0000
Br  0.5000  0.5000  0.5000
O  0.0000  0.5000  0.0000

(4)
Structure and simulated powder XRD pattern of K2OsBr (a crystal structure in Alexandria, relaxed with GGA-PBE; Cu Ka).
Kinematic intensities with the Lorentz-polarization factor, no thermal factor.

Principal peaks in the range 10° ≤ 2θ ≤ 80°, low angle first:
- 2θ = 18.74°, rel. 28, hkl 0 0 2
- 2θ = 26.22°, rel. 24, hkl 1 0 0
- 2θ = 27.89°, rel. 16, hkl 1 0 1
- 2θ = 32.43°, rel. 100, hkl 1 0 2
- 2θ = 37.43°, rel. 34, hkl 1 1 0
- 2θ = 38.01°, rel. 15, hkl 0 0 4
- 2θ = 42.17°, rel. 15, hkl 1 1 2
- 2θ = 46.77°, rel. 12, hkl 1 0 4
- 2θ = 54.41°, rel. 21, hkl 1 1 4
- 2θ = 64.38°, rel. 26, hkl 2 1 2

Structural model:
abc: 3.3983 3.3983 9.4689
angles: 90.00 90.00 90.00
Space group P4/mmm (No. 123)
Asymmetric unit:
K  0.0000  0.0000  0.2279
Os  0.5000  0.5000  0.5000
Br  0.5000  0.5000  0.0000